Starting from a structure optimized by DFT (GGA+U), the powder diffractogram of Mn4Si5O15 was calculated for Cu Kα.
Kinematic intensities with the Lorentz-polarization factor, no thermal factor.

Largest 8 diffraction maxima, sorted by position, 10° ≤ 2θ ≤ 80°:
2θ (°), I (rel.), h k l
12.4, 31.9, 0 1 -1
13.5, 31.6, 1 0 0
21.8, 44.2, 1 -1 2
29.0, 48.9, 2 -1 0
29.7, 100.0, 0 1 -4
30.3, 72.8, 2 1 -1
32.6, 95.0, 0 2 2
42.3, 26.7, 3 -1 0

Structural model:
```
data_Mn4Si5O15
_symmetry_space_group_name_H-M 'P -1'
_symmetry_Int_Tables_number 2
_cell_length_a 6.5847
_cell_length_b 7.5606
_cell_length_c 12.1612
_cell_angle_alpha 106.08
_cell_angle_beta 94.77
_cell_angle_gamma 93.46
loop_
_symmetry_equiv_pos_as_xyz
'x,y,z'
'-x,-y,-z'
loop_
_atom_site_label
_atom_site_type_symbol
_atom_site_fract_x
_atom_site_fract_y
_atom_site_fract_z
Mn1 Mn 0.0389 0.1077 0.1668
Mn2 Mn 0.1216 0.3207 0.4481
Mn3 Mn 0.1872 0.4958 0.7318
Mn4 Mn 0.2378 0.7306 0.0303
Si1 Si 0.1657 0.0631 0.6487
Si2 Si 0.2333 0.2677 0.9104
Si3 Si 0.2929 0.5389 0.2545
Si4 Si 0.3754 0.7275 0.5169
Si5 Si 0.4916 0.2071 0.1206
O1 O 0.0266 0.0790 0.3392
O2 O 0.0392 0.1691 0.9540
O3 O 0.1001 0.3983 0.2640
O4 O 0.1122 0.2417 0.6057
O5 O 0.1794 0.5949 0.5477
O6 O 0.2033 0.4754 0.9067
O7 O 0.2465 0.6443 0.1589
O8 O 0.2626 0.8180 0.8893
O9 O 0.2780 0.1452 0.7822
O10 O 0.3210 0.9404 0.5684
O11 O 0.3361 0.0477 0.1338
O12 O 0.3679 0.6859 0.3777
O13 O 0.4042 0.3071 0.4284
O14 O 0.4412 0.2595 0.9960
O15 O 0.4902 0.4073 0.2225
```